Record 1
For LaHfAs2, the GGA-PBE geometry in Alexandria gives the calculated powder XRD pattern in this record (Cu Kα (λ = 1.5418 Å)).
Lines closer than 0.1° are merged.

Crystal structure
a = 4.0472 Å, b = 4.0472 Å, c = 20.3057 Å
α = 90.00°, β = 90.00°, γ = 120.00°
Atoms (fractional coordinates):
La  0.0000  0.0000  0.0000
La  0.3333  0.6667  0.6667
La  0.6667  0.3333  0.3333
Hf  0.0000  0.0000  0.5000
Hf  0.3333  0.6667  0.1667
Hf  0.6667  0.3333  0.8333
As  0.0000  0.0000  0.2392
As  0.0000  0.0000  0.7608
As  0.3333  0.6667  0.4274
As  0.3333  0.6667  0.9059
As  0.6667  0.3333  0.0941
As  0.6667  0.3333  0.5726

Peak list (8 most intense, 2θ from 15° to 90°, sorted by position)
2θ (°), I (rel.)
26.91, 16.7
31.01, 100.0
44.05, 35.4
44.79, 37.2
55.47, 19.2
72.87, 14.1
73.94, 16.3
82.06, 11.6


Record 2
For LiHf3As4, the GGA-PBE geometry in Alexandria gives the calculated powder XRD pattern in this record (Cu Kα (λ = 1.5418 Å)).
Lines closer than 0.1° are merged.

Crystal structure
a = 6.6530 Å, b = 7.6774 Å, c = 6.6007 Å
α = 90.00°, β = 109.57°, γ = 90.00°
Atoms (fractional coordinates):
Li  0.0000  0.1131  0.2500
Li  0.0000  0.8869  0.7500
Hf  0.0000  0.3732  0.7500
Hf  0.0000  0.6268  0.2500
Hf  0.5000  0.1212  0.7500
Hf  0.5000  0.3761  0.2500
Hf  0.5000  0.6239  0.7500
Hf  0.5000  0.8788  0.2500
As  0.2459  0.3700  0.4956
As  0.2459  0.6300  0.9956
As  0.2481  0.1257  0.0013
As  0.2481  0.8743  0.5013
As  0.7519  0.1257  0.4987
As  0.7519  0.8743  0.9987
As  0.7541  0.3700  0.0044
As  0.7541  0.6300  0.5044

Peak list (8 most intense, 2θ from 15° to 90°, sorted by position)
2θ (°), I (rel.)
18.31, 11.3
33.08, 100.0
47.35, 36.7
47.62, 36.1
58.97, 19.0
69.42, 11.7
78.87, 16.4
79.29, 16.2


Record 3
For LiHf2As3, the GGA-PBE geometry in Alexandria gives the calculated powder XRD pattern in this record (Cu Kα (λ = 1.5418 Å)).
Lines closer than 0.1° are merged.

Crystal structure
a = 12.7200 Å, b = 12.1314 Å, c = 6.6602 Å
α = 79.40°, β = 69.63°, γ = 30.98°
Atoms (fractional coordinates):
Li  0.0418  0.0418  0.2082
Li  0.2082  0.2082  0.0418
Li  0.7918  0.7918  0.9582
Li  0.9582  0.9582  0.7918
Hf  0.1241  0.1241  0.6259
Hf  0.2915  0.2915  0.4585
Hf  0.3741  0.3741  0.8759
Hf  0.4585  0.4585  0.2915
Hf  0.5415  0.5415  0.7085
Hf  0.6259  0.6259  0.1241
Hf  0.7085  0.7085  0.5415
Hf  0.8759  0.8759  0.3741
As  0.0410  0.5429  0.2095
As  0.1242  0.6258  0.6258
As  0.2095  0.7067  0.0410
As  0.2933  0.7905  0.4571
As  0.3742  0.8758  0.8758
As  0.4571  0.9590  0.2933
As  0.5429  0.0410  0.7067
As  0.6258  0.1242  0.1242
As  0.7067  0.2095  0.5429
As  0.7905  0.2933  0.9590
As  0.8758  0.3742  0.3742
As  0.9590  0.4571  0.7905

Peak list (8 most intense, 2θ from 15° to 90°, sorted by position)
2θ (°), I (rel.)
32.96, 100.0
47.14, 12.3
47.31, 48.6
47.42, 12.1
58.74, 13.0
58.98, 12.6
69.13, 11.7
88.21, 12.9


Record 4
For LiHf2ScAs4, the GGA-PBE geometry in Alexandria gives the calculated powder XRD pattern in this record (Cu Kα (λ = 1.5418 Å)).
Lines closer than 0.1° are merged.

Crystal structure
a = 6.6323 Å, b = 3.8207 Å, c = 6.7392 Å
α = 90.00°, β = 108.71°, γ = 90.00°
Atoms (fractional coordinates):
Li  0.0000  0.0000  0.0000
Hf  0.0000  0.5000  0.5000
Hf  0.5000  0.0000  0.5000
Sc  0.5000  0.5000  0.0000
As  0.2467  0.0000  0.7495
As  0.2504  0.5000  0.2533
As  0.7496  0.5000  0.7467
As  0.7533  0.0000  0.2505

Peak list (8 most intense, 2θ from 15° to 90°, sorted by position)
2θ (°), I (rel.)
27.32, 42.3
32.83, 100.0
32.98, 49.4
46.62, 18.7
46.93, 36.6
47.55, 52.9
59.12, 18.3
79.13, 15.7


Record 5
For Hf15Mo11As2, the GGA-PBE geometry in Alexandria gives the calculated powder XRD pattern in this record (Cu Kα (λ = 1.5418 Å)).
Lines closer than 0.1° are merged.

Crystal structure
a = 8.4603 Å, b = 8.4603 Å, c = 8.7655 Å
α = 90.00°, β = 90.00°, γ = 120.00°
Atoms (fractional coordinates):
Hf  0.0698  0.5349  0.0000
Hf  0.1992  0.3985  0.2977
Hf  0.1992  0.3985  0.7023
Hf  0.1992  0.8008  0.2977
Hf  0.1992  0.8008  0.7023
Hf  0.4066  0.2033  0.2191
Hf  0.4066  0.2033  0.7809
Hf  0.4651  0.5349  0.0000
Hf  0.4651  0.9302  0.0000
Hf  0.6015  0.8008  0.2977
Hf  0.6015  0.8008  0.7023
Hf  0.7967  0.2033  0.2191
Hf  0.7967  0.2033  0.7809
Hf  0.7967  0.5934  0.2191
Hf  0.7967  0.5934  0.7809
Mo  0.0000  0.0000  0.2574
Mo  0.0000  0.0000  0.7426
Mo  0.1087  0.2174  0.0000
Mo  0.1087  0.8913  0.0000
Mo  0.2276  0.1138  0.5000
Mo  0.5226  0.0452  0.5000
Mo  0.5226  0.4774  0.5000
Mo  0.7826  0.8913  0.0000
Mo  0.8862  0.1138  0.5000
Mo  0.8862  0.7724  0.5000
Mo  0.9548  0.4774  0.5000
As  0.3333  0.6667  0.5000
As  0.6667  0.3333  0.0000

Peak list (8 most intense, 2θ from 15° to 90°, sorted by position)
2θ (°), I (rel.)
31.84, 33.9
38.26, 33.9
38.45, 100.0
39.45, 31.3
41.19, 19.0
42.75, 22.6
65.55, 20.5
67.38, 24.0


Record 6
For Hf4As3N2, the GGA-PBE geometry in Alexandria gives the calculated powder XRD pattern in this record (Cu Kα (λ = 1.5418 Å)).
Lines closer than 0.1° are merged.

Crystal structure
a = 6.3754 Å, b = 6.3754 Å, c = 8.2609 Å
α = 120.57°, β = 120.57°, γ = 33.20°
Atoms (fractional coordinates):
Hf  0.1158  0.1158  0.4127
Hf  0.3162  0.3162  0.8857
Hf  0.6838  0.6838  0.1143
Hf  0.8842  0.8842  0.5873
As  0.0000  0.0000  0.0000
As  0.3856  0.3856  0.2806
As  0.6144  0.6144  0.7194
N  0.3148  0.3148  0.6345
N  0.6852  0.6852  0.3655

Peak list (8 most intense, 2θ from 15° to 90°, sorted by position)
2θ (°), I (rel.)
26.28, 15.4
32.66, 62.8
33.00, 100.0
39.86, 60.5
50.08, 21.0
53.60, 24.6
61.08, 21.0
67.65, 15.7